Record 1
This entry pairs a crystal structure of Er5TlHg4 with its computed X-ray diffraction stick pattern. Radiation: Cu Kα (λ = 1.5418 Å). Structure: a DFT-relaxed cell (PBE, OQMD).

Peak list (6 most intense, 2θ = 10–90°, most intense first)
- 34.3 deg, rel. 100
- 61.4 deg, rel. 25
- 49.3 deg, rel. 12
- 61.3 deg, rel. 12
- 82.6 deg, rel. 11
- 72.2 deg, rel. 8

Crystal structure
```
data_Er5TlHg4
_cell_length_a 3.695
_cell_length_b 3.695
_cell_length_c 18.529
_cell_angle_alpha 90.00
_cell_angle_beta 90.00
_cell_angle_gamma 90.00
_symmetry_space_group_name_H-M 'P 4/m m m'
_symmetry_Int_Tables_number 123
_symmetry_space_group_name_Hall '-P 4 2'
loop_
_atom_site_label
_atom_site_fract_x
_atom_site_fract_y
_atom_site_fract_z
Er1 0.000 0.000 0.000
Er2 0.000 0.000 0.197
Er3 0.000 0.000 0.394
Tl1 0.500 0.500 0.500
Hg1 0.500 0.500 0.099
Hg2 0.500 0.500 0.296
```



Record 2
This entry pairs a crystal structure of LaNdSn2Hg2 with its computed X-ray diffraction stick pattern. Radiation: Cu Kα (λ = 1.5418 Å). Structure: a DFT-relaxed cell (PBE, OQMD).

Peak list (6 most intense, 2θ = 10–90°, most intense first)
- 30.2 deg, rel. 100
- 37.3 deg, rel. 84
- 48.7 deg, rel. 27
- 62.9 deg, rel. 25
- 34.3 deg, rel. 24
- 67.3 deg, rel. 19

Crystal structure
```
data_LaNdSn2Hg2
_cell_length_a 4.8194
_cell_length_b 4.8194
_cell_length_c 16.7827
_cell_angle_alpha 90.00
_cell_angle_beta 90.00
_cell_angle_gamma 120.00
_symmetry_space_group_name_H-M 'P 63/m m c'
_symmetry_Int_Tables_number 194
_symmetry_space_group_name_Hall '-P 6c 2c'
loop_
_atom_site_label
_atom_site_fract_x
_atom_site_fract_y
_atom_site_fract_z
La1 0.0000 0.0000 0.2500
Nd1 0.0000 0.0000 0.0000
Sn1 0.3333 0.6667 0.1053
Hg1 0.3333 0.6667 0.6532
```



Record 3
This entry pairs a crystal structure of Sr3Cd8Ge4 with its computed X-ray diffraction stick pattern. Radiation: Cu Kα (λ = 1.5418 Å). Structure: a DFT-relaxed cell (PBE, OQMD).

Peak list (6 most intense, 2θ = 10–90°, most intense first)
- 31.5 deg, rel. 100
- 39.6 deg, rel. 52
- 41.0 deg, rel. 35
- 29.7 deg, rel. 32
- 42.5 deg, rel. 27
- 66.8 deg, rel. 22

Crystal structure
```
data_Sr3Cd8Ge4
_cell_length_a 4.552
_cell_length_b 4.552
_cell_length_c 36.137
_cell_angle_alpha 90.00
_cell_angle_beta 90.00
_cell_angle_gamma 90.00
_symmetry_space_group_name_H-M 'I 4/m m m'
_symmetry_Int_Tables_number 139
_symmetry_space_group_name_Hall '-I 4 2'
loop_
_atom_site_label
_atom_site_fract_x
_atom_site_fract_y
_atom_site_fract_z
Sr1 0.000 0.000 0.000
Sr2 0.000 0.000 0.330
Cd1 0.000 0.000 0.130
Cd2 0.000 0.500 0.082
Cd3 0.000 0.500 0.250
Ge1 0.000 0.000 0.204
Ge2 0.000 0.000 0.465
```



Record 4
This entry pairs a crystal structure of SmHoB2Ir2O2 with its computed X-ray diffraction stick pattern. Radiation: Cu Kα (λ = 1.5418 Å). Structure: a DFT-relaxed cell (PBE, OQMD).

Peak list (6 most intense, 2θ = 10–90°, most intense first)
- 35.3 deg, rel. 100
- 41.5 deg, rel. 89
- 12.1 deg, rel. 70
- 26.3 deg, rel. 49
- 47.5 deg, rel. 45
- 37.0 deg, rel. 39

Crystal structure
```
data_SmHoB2Ir2O2
_cell_length_a 3.831
_cell_length_b 3.831
_cell_length_c 7.298
_cell_angle_alpha 90.00
_cell_angle_beta 90.00
_cell_angle_gamma 90.00
_symmetry_space_group_name_H-M 'P 4 m m'
_symmetry_Int_Tables_number 99
loop_
_symmetry_equiv_pos_as_xyz
'x,y,z'
'-y,x,z'
'-x,-y,z'
'y,-x,z'
'-x,y,z'
'y,x,z'
'x,-y,z'
'-y,-x,z'
loop_
_atom_site_label
_atom_site_fract_x
_atom_site_fract_y
_atom_site_fract_z
Sm1 0.000 0.000 0.000
Ho1 0.500 0.500 0.370
B1 0.000 0.000 0.531
B2 0.500 0.500 0.835
Ir1 0.000 0.500 0.680
O1 0.000 0.000 0.324
O2 0.500 0.500 0.047
```



Record 5
This entry pairs a crystal structure of TbAs2Pd4 with its computed X-ray diffraction stick pattern. Radiation: Cu Kα (λ = 1.5418 Å). Structure: a DFT-relaxed cell (PBE, OQMD).

Peak list (6 most intense, 2θ = 10–90°, most intense first)
- 34.0 deg, rel. 100
- 43.2 deg, rel. 53
- 36.8 deg, rel. 45
- 39.7 deg, rel. 43
- 44.5 deg, rel. 32
- 64.5 deg, rel. 24

Crystal structure
```
data_TbAs2Pd4
_cell_length_a 7.730
_cell_length_b 7.730
_cell_length_c 4.074
_cell_angle_alpha 90.00
_cell_angle_beta 90.00
_cell_angle_gamma 90.00
_symmetry_space_group_name_H-M 'P 42/m n m'
_symmetry_Int_Tables_number 136
_symmetry_space_group_name_Hall '-P 4n 2n'
loop_
_atom_site_label
_atom_site_fract_x
_atom_site_fract_y
_atom_site_fract_z
Tb1 0.000 0.000 0.000
As1 0.221 0.221 0.500
Pd1 0.087 0.662 0.500
```



Record 6
This entry pairs a crystal structure of HgAsNO with its computed X-ray diffraction stick pattern. Radiation: Cu Kα (λ = 1.5418 Å). Structure: a DFT-relaxed cell (PBE, OQMD).

Peak list (6 most intense, 2θ = 10–90°, most intense first)
- 35.6 deg, rel. 100
- 27.8 deg, rel. 50
- 29.2 deg, rel. 36
- 20.1 deg, rel. 36
- 54.4 deg, rel. 33
- 40.8 deg, rel. 33

Crystal structure
```
data_HgAsNO
_cell_length_a 3.070
_cell_length_b 6.111
_cell_length_c 6.411
_cell_angle_alpha 90.00
_cell_angle_beta 90.00
_cell_angle_gamma 90.00
_symmetry_space_group_name_H-M 'P m c 21'
_symmetry_Int_Tables_number 26
loop_
_symmetry_equiv_pos_as_xyz
'x,y,z'
'-x,-y,z+1/2'
'-x,y,z'
'x,-y,z+1/2'
loop_
_atom_site_label
_atom_site_fract_x
_atom_site_fract_y
_atom_site_fract_z
Hg1 0.000 0.219 0.000
As1 0.500 0.255 0.500
N1 0.000 0.135 0.652
O1 0.500 0.483 0.122
```



Record 7
This entry pairs a crystal structure of CdSbPbF with its computed X-ray diffraction stick pattern. Radiation: Cu Kα (λ = 1.5418 Å). Structure: a DFT-relaxed cell (PBE, OQMD).

Peak list (6 most intense, 2θ = 10–90°, most intense first)
- 25.0 deg, rel. 100
- 39.6 deg, rel. 79
- 35.3 deg, rel. 55
- 29.5 deg, rel. 25
- 26.3 deg, rel. 23
- 52.0 deg, rel. 21

Crystal structure
```
data_CdSbPbF
_cell_length_a 4.5480
_cell_length_b 4.5480
_cell_length_c 33.2558
_cell_angle_alpha 90.00
_cell_angle_beta 90.00
_cell_angle_gamma 120.00
_symmetry_space_group_name_H-M 'R -3 m'
_symmetry_Int_Tables_number 166
_symmetry_space_group_name_Hall '-R 3 2"'
loop_
_atom_site_label
_atom_site_fract_x
_atom_site_fract_y
_atom_site_fract_z
Cd1 0.0000 0.0000 0.1945
Sb1 0.0000 0.0000 0.1045
Pb1 0.0000 0.0000 0.3818
F1 0.0000 0.0000 0.3079
```



Record 8
This entry pairs a crystal structure of NaDyPd6O8 with its computed X-ray diffraction stick pattern. Radiation: Cu Kα (λ = 1.5418 Å). Structure: a DFT-relaxed cell (PBE, OQMD).

Peak list (6 most intense, 2θ = 10–90°, most intense first)
- 34.7 deg, rel. 100
- 38.2 deg, rel. 61
- 59.9 deg, rel. 32
- 57.5 deg, rel. 24
- 75.4 deg, rel. 20
- 15.3 deg, rel. 18

Crystal structure
```
data_NaDyPd6O8
_cell_length_a 5.776
_cell_length_b 5.776
_cell_length_c 5.776
_cell_angle_alpha 90.00
_cell_angle_beta 90.00
_cell_angle_gamma 90.00
_symmetry_space_group_name_H-M 'P m -3'
_symmetry_Int_Tables_number 200
_symmetry_space_group_name_Hall '-P 2 2 3'
loop_
_atom_site_label
_atom_site_fract_x
_atom_site_fract_y
_atom_site_fract_z
Na1 0.000 0.000 0.000
Dy1 0.500 0.500 0.500
Pd1 0.000 0.500 0.249
O1 0.259 0.259 0.259
```



Record 9
This entry pairs a crystal structure of Gd3Se3N with its computed X-ray diffraction stick pattern. Radiation: Cu Kα (λ = 1.5418 Å). Structure: a DFT-relaxed cell (PBE, OQMD).

Peak list (6 most intense, 2θ = 10–90°, most intense first)
- 38.0 deg, rel. 100
- 26.9 deg, rel. 87
- 33.7 deg, rel. 67
- 31.0 deg, rel. 51
- 31.6 deg, rel. 48
- 26.4 deg, rel. 43

Crystal structure
```
data_Gd3Se3N
_cell_length_a 12.645
_cell_length_b 3.997
_cell_length_c 13.255
_cell_angle_alpha 90.00
_cell_angle_beta 90.00
_cell_angle_gamma 90.00
_symmetry_space_group_name_H-M 'P n m a'
_symmetry_Int_Tables_number 62
loop_
_symmetry_equiv_pos_as_xyz
'x,y,z'
'-x,-y,-z'
'-x+1/2,-y,z+1/2'
'x+1/2,y,-z+1/2'
'x+1/2,-y+1/2,-z+1/2'
'-x+1/2,y+1/2,z+1/2'
'-x,y+1/2,-z'
'x,-y+1/2,z'
loop_
_atom_site_label
_atom_site_fract_x
_atom_site_fract_y
_atom_site_fract_z
Gd1 0.042 0.250 0.151
Gd2 0.065 0.250 0.633
Gd3 0.205 0.250 0.859
Se1 0.095 0.250 0.396
Se2 0.131 0.750 0.995
Se3 0.225 0.750 0.688
N1 0.038 0.250 0.797
```



Record 10
This entry pairs a crystal structure of TaFeBPt with its computed X-ray diffraction stick pattern. Radiation: Cu Kα (λ = 1.5418 Å). Structure: a DFT-relaxed cell (PBE, OQMD).

Peak list (6 most intense, 2θ = 10–90°, most intense first)
- 42.6 deg, rel. 100
- 25.7 deg, rel. 63
- 77.9 deg, rel. 34
- 50.4 deg, rel. 32
- 61.8 deg, rel. 17
- 68.0 deg, rel. 13

Crystal structure
```
data_TaFeBPt
_cell_length_a 6.005
_cell_length_b 6.005
_cell_length_c 6.005
_cell_angle_alpha 90.00
_cell_angle_beta 90.00
_cell_angle_gamma 90.00
_symmetry_space_group_name_H-M 'F -4 3 m'
_symmetry_Int_Tables_number 216
_symmetry_space_group_name_Hall 'F -4 2 3'
loop_
_atom_site_label
_atom_site_fract_x
_atom_site_fract_y
_atom_site_fract_z
Ta1 0.000 0.000 0.000
Fe1 0.000 0.000 0.500
B1 0.250 0.250 0.250
Pt1 0.250 0.250 0.750
```



Record 11
This entry pairs a crystal structure of In10OsS10 with its computed X-ray diffraction stick pattern. Radiation: Cu Kα (λ = 1.5418 Å). Structure: a DFT-relaxed cell (PBE, OQMD).

Peak list (6 most intense, 2θ = 10–90°, most intense first)
- 27.0 deg, rel. 100
- 14.9 deg, rel. 68
- 18.6 deg, rel. 61
- 32.8 deg, rel. 53
- 10.5 deg, rel. 47
- 28.1 deg, rel. 42

Crystal structure
```
data_In10OsS10
_cell_length_a 11.880
_cell_length_b 11.941
_cell_length_c 7.928
_cell_angle_alpha 90.00
_cell_angle_beta 90.00
_cell_angle_gamma 90.00
_symmetry_space_group_name_H-M 'P b a m'
_symmetry_Int_Tables_number 55
loop_
_symmetry_equiv_pos_as_xyz
'x,y,z'
'-x,-y,-z'
'-x,-y,z'
'x,y,-z'
'x+1/2,-y+1/2,-z'
'-x+1/2,y+1/2,z'
'-x+1/2,y+1/2,-z'
'x+1/2,-y+1/2,z'
loop_
_atom_site_label
_atom_site_fract_x
_atom_site_fract_y
_atom_site_fract_z
In1 0.000 0.000 0.199
In2 0.044 0.285 0.000
In3 0.107 0.269 0.500
In4 0.137 0.547 0.253
Os1 0.000 0.500 0.000
S1 0.096 0.693 0.500
S2 0.112 0.876 0.000
S3 0.146 0.149 0.246
S4 0.232 0.432 0.500
```



Record 12
This entry pairs a crystal structure of HfZrHgC with its computed X-ray diffraction stick pattern. Radiation: Cu Kα (λ = 1.5418 Å). Structure: a DFT-relaxed cell (PBE, OQMD).

Peak list (6 most intense, 2θ = 10–90°, most intense first)
- 36.0 deg, rel. 100
- 31.0 deg, rel. 22
- 36.2 deg, rel. 21
- 67.8 deg, rel. 21
- 55.1 deg, rel. 20
- 65.0 deg, rel. 19

Crystal structure
```
data_HfZrHgC
_cell_length_a 3.3309
_cell_length_b 3.3309
_cell_length_c 14.8809
_cell_angle_alpha 90.00
_cell_angle_beta 90.00
_cell_angle_gamma 120.00
_symmetry_space_group_name_H-M 'P 63 m c'
_symmetry_Int_Tables_number 186
_symmetry_space_group_name_Hall 'P 6c -2c'
loop_
_atom_site_label
_atom_site_fract_x
_atom_site_fract_y
_atom_site_fract_z
Hf1 0.3333 0.6667 0.0000
Zr1 0.3333 0.6667 0.6678
Hg1 0.3333 0.6667 0.3352
C1 0.0000 0.0000 0.0808
```